This entry pairs a crystal structure of Ca10Si3S3Cl2O24 with its computed XRD peak list. Radiation: Cu Kα X-rays. Structure: a GGA-PBE-relaxed structure.

Cell and atoms:
```
data_Ca10Si3S3Cl2O24
_chemical_formula_sum 'Ca10 Si3 S3 Cl2 O24'
_space_group_name_H-M_alt 'P 1 m 1'
_space_group_IT_number 6
_space_group_name_Hall 'P -2y'
_cell_length_a 9.7936
_cell_length_b 6.8168
_cell_length_c 9.8796
_cell_angle_alpha 90.00
_cell_angle_beta 119.33
_cell_angle_gamma 90.00
loop_
_atom_site_label
_atom_site_type_symbol
_atom_site_fract_x
_atom_site_fract_y
_atom_site_fract_z
_atom_site_occupancy
Ca1 Ca 0.0000 0.0000 0.0000 1
Ca2 Ca 0.0040 0.5000 0.5404 1
Ca3 Ca 0.2353 0.0000 0.5209 1
Ca4 Ca 0.2457 0.5000 0.3123 1
Ca5 Ca 0.3000 0.2405 0.9253 1
Ca6 Ca 0.6294 0.2454 0.5912 1
Ca7 Ca 0.7062 0.5000 0.0261 1
Ca8 Ca 0.7520 0.0000 0.3211 1
Si1 Si 0.3593 0.5000 0.6939 1
Si2 Si 0.3809 0.0000 0.3049 1
Si3 Si 0.9342 0.0000 0.6584 1
S1 S 0.0047 0.5000 0.9022 1
S2 S 0.5552 0.5000 0.2387 1
S3 S 0.6014 0.0000 0.8744 1
Cl1 Cl 0.9687 0.2534 0.2676 1
O1 O 0.0554 0.3261 0.0052 1
O2 O 0.0946 0.5000 0.8150 1
O3 O 0.1157 0.0000 0.8000 1
O4 O 0.2428 0.3056 0.6398 1
O5 O 0.3000 0.0000 0.1151 1
O6 O 0.3350 0.1919 0.3766 1
O7 O 0.3792 0.5000 0.1494 1
O8 O 0.4457 0.5000 0.8874 1
O9 O 0.4860 0.5000 0.6302 1
O10 O 0.4873 0.0000 0.9338 1
O11 O 0.5141 0.0000 0.7002 1
O12 O 0.5745 0.0000 0.4002 1
O13 O 0.6085 0.5000 0.4075 1
O14 O 0.6140 0.3233 0.1943 1
O15 O 0.7016 0.1772 0.9298 1
O16 O 0.8219 0.0000 0.7411 1
O17 O 0.8335 0.5000 0.7947 1
O18 O 0.8850 0.1956 0.5453 1
```

Main lines, in order of rising 2θ (2θ = 15–90°):
| two_theta | I (rel.) | index |
| --- | --- | --- |
| 30.5 | 61 | 1 1 2 |
| 30.7 | 74 | 2 1 -3 |
| 31.2 | 44 | 0 0 3 |
| 31.4 | 44 | 3 0 0 |
| 31.6 | 46 | 3 0 -3 |
| 31.9 | 100 | 1 2 1 |
| 32.0 | 58 | 2 2 -1 |
| 49.1 | 34 | 5 0 -1 |


This entry pairs a crystal structure of Ca10Si3S3Cl2O24 with its computed XRD peak list. Radiation: Cu Kα X-rays. Structure: a GGA-PBE-relaxed structure.

Cell and atoms:
```
data_Ca10Si3S3Cl2O24
_chemical_formula_sum 'Ca10 Si3 S3 Cl2 O24'
_space_group_name_H-M_alt 'P -6'
_space_group_IT_number 174
_space_group_name_Hall 'P -6'
_cell_length_a 9.9352
_cell_length_b 9.9352
_cell_length_c 6.7540
_cell_angle_alpha 90.00
_cell_angle_beta 90.00
_cell_angle_gamma 120.00
loop_
_atom_site_label
_atom_site_type_symbol
_atom_site_fract_x
_atom_site_fract_y
_atom_site_fract_z
_atom_site_occupancy
Ca1 Ca 0.0000 0.0000 0.2242 1
Ca2 Ca 0.0581 0.6303 0.0000 1
Ca3 Ca 0.0847 0.4121 0.5000 1
Ca4 Ca 0.6667 0.3333 0.2331 1
Si1 Si 0.3631 0.0734 0.0000 1
S1 S 0.2994 0.2489 0.5000 1
Cl1 Cl 0.3333 0.6667 0.2560 1
O1 O 0.0524 0.7463 0.3230 1
O2 O 0.1758 0.0054 0.0000 1
O3 O 0.2027 0.0735 0.5000 1
O4 O 0.4230 0.0183 0.1971 1
O5 O 0.4660 0.2659 0.0000 1
O6 O 0.4668 0.2984 0.5000 1
```

Main lines, in order of rising 2θ (2θ = 15–90°):
| two_theta | I (rel.) | index |
| --- | --- | --- |
| 30.5 | 100 | 2 1 1 |
| 31.2 | 71 | 3 0 0 |
| 32.0 | 74 | 1 1 2 |
| 38.4 | 18 | 1 2 2 |
| 45.3 | 38 | 2 2 2 |
| 48.0 | 16 | 2 3 1 |
| 48.5 | 19 | 4 1 0 |
| 49.2 | 27 | 2 1 3 |


This entry pairs a crystal structure of Ca11Si4ClO18 with its computed XRD peak list. Radiation: Cu Kα X-rays. Structure: a GGA-PBE-relaxed structure.

Cell and atoms:
```
data_Ca11Si4ClO18
_chemical_formula_sum 'Ca22 Si8 Cl2 O36'
_space_group_name_H-M_alt 'I 4/m m m'
_space_group_IT_number 139
_space_group_name_Hall '-I 4 2'
_cell_length_a 10.5703
_cell_length_b 10.5703
_cell_length_c 8.9136
_cell_angle_alpha 90.00
_cell_angle_beta 90.00
_cell_angle_gamma 90.00
loop_
_atom_site_label
_atom_site_type_symbol
_atom_site_fract_x
_atom_site_fract_y
_atom_site_fract_z
_atom_site_occupancy
Ca1 Ca 0.0000 0.0000 0.0000 1
Ca2 Ca 0.0000 0.2563 0.2934 1
Ca3 Ca 0.0000 0.5000 0.0000 1
Si1 Si 0.2118 0.2118 0.0000 1
Cl1 Cl 0.0000 0.0000 0.5000 1
O1 O 0.0000 0.5000 0.2500 1
O2 O 0.1344 0.3164 0.5000 1
O3 O 0.1451 0.1451 0.1492 1
```

Main lines, in order of rising 2θ (2θ = 15–90°):
| two_theta | I (rel.) | index |
| --- | --- | --- |
| 27.2 | 23 | 3 0 1 |
| 31.2 | 100 | 2 2 2 |
| 33.9 | 24 | 4 0 0 |
| 40.5 | 10 | 0 0 4 |
| 48.7 | 22 | 4 4 0 |
| 53.8 | 14 | 4 0 4 |
| 56.2 | 10 | 5 2 3 |
| 59.0 | 18 | 6 2 2 |


This entry pairs a crystal structure of Ca2TlCl2O2 with its computed XRD peak list. Radiation: Cu Kα X-rays. Structure: a GGA-PBE-relaxed structure.

Cell and atoms:
```
data_Ca2TlCl2O2
_chemical_formula_sum 'Ca4 Tl2 Cl4 O4'
_space_group_name_H-M_alt 'C 1 2/m 1'
_space_group_IT_number 12
_space_group_name_Hall '-C 2y'
_cell_length_a 13.7746
_cell_length_b 3.8331
_cell_length_c 6.7312
_cell_angle_alpha 90.00
_cell_angle_beta 116.09
_cell_angle_gamma 90.00
loop_
_atom_site_label
_atom_site_type_symbol
_atom_site_fract_x
_atom_site_fract_y
_atom_site_fract_z
_atom_site_occupancy
Ca1 Ca 0.2372 0.0000 0.2741 1
Tl1 Tl 0.0000 0.0000 0.5000 1
Cl1 Cl 0.1181 0.5000 0.9346 1
O1 O 0.1746 0.0000 0.5376 1
```

Main lines, in order of rising 2θ (2θ = 15–90°):
| two_theta | I (rel.) | index |
| --- | --- | --- |
| 15.3 | 62 | 2 0 -1 |
| 24.3 | 36 | 1 1 0 |
| 26.0 | 48 | 4 0 -1 |
| 26.8 | 29 | 1 1 -1 |
| 30.1 | 100 | 1 1 1 |
| 36.6 | 36 | 3 1 -2 |
| 43.5 | 27 | 5 1 0 |
| 52.8 | 31 | 7 1 -1 |